Entry 1:
# In3AgSn2Se8
Theoretical X-ray powder pattern, λ = 1.5418 Å (Cu Kα). Input: a cell relaxed with PBE.
Lines closer than 0.1° are merged.

Crystal structure
```
In3AgSn2Se8
1.0
4.1486 2.3952 6.6514
-4.1486 2.3952 6.6514
0.0000 -4.7904 6.6514
In Ag Sn Se
3 1 2 8
Direct
0.0137 0.4931 0.4931 In
0.4931 0.0137 0.4931 In
0.4931 0.4931 0.0137 In
0.1227 0.1227 0.1227 Ag
0.4935 0.4935 0.4935 Sn
0.8755 0.8755 0.8755 Sn
0.2551 0.2551 0.7276 Se
0.2551 0.7276 0.2551 Se
0.2567 0.2567 0.2567 Se
0.2832 0.7365 0.7365 Se
0.7276 0.2551 0.2551 Se
0.7360 0.7360 0.7360 Se
0.7365 0.2832 0.7365 Se
0.7365 0.7365 0.2832 Se
```

Largest 10 diffraction maxima, most intense first, 2θ from 5° to 70°:
30.67°, d 2.915, intensity 1000; 43.64°, d 2.074, intensity 871; 44.20°, d 2.049, intensity 834; 25.30°, d 3.520, intensity 625; 40.16°, d 2.245, intensity 391; 25.53°, d 3.489, intensity 339; 25.19°, d 3.536, intensity 318; 63.86°, d 1.458, intensity 256; 40.01°, d 2.254, intensity 225; 21.42°, d 4.149, intensity 206

---

Entry 2:
# MgZn10Ni2
Theoretical X-ray powder pattern, λ = 1.5418 Å (Cu Kα). Input: a cell relaxed with PBE.
Lines closer than 0.1° are merged.

Crystal structure
```
MgZn10Ni2
1.0
0.0000 6.0795 6.2995
2.5209 0.0000 6.2995
2.5209 6.0795 0.0000
Mg Zn Ni
1 10 2
Direct
0.0000 0.0000 0.0000 Mg
0.0000 0.5000 0.0000 Zn
0.0170 0.6600 0.3400 Zn
0.2855 0.5061 0.4939 Zn
0.3400 0.9830 0.0170 Zn
0.4939 0.7145 0.2855 Zn
0.5000 0.0000 0.5000 Zn
0.5061 0.2855 0.7145 Zn
0.6600 0.0170 0.9830 Zn
0.7145 0.4939 0.5061 Zn
0.9830 0.3400 0.6600 Zn
0.0000 0.0000 0.5000 Ni
0.5000 0.5000 0.0000 Ni
```

Largest 10 diffraction maxima, most intense first, 2θ from 5° to 70°:
41.30°, d 2.186, intensity 1000; 46.11°, d 1.968, intensity 614; 46.80°, d 1.941, intensity 562; 35.58°, d 2.523, intensity 431; 41.86°, d 2.158, intensity 393; 20.31°, d 4.372, intensity 383; 40.71°, d 2.216, intensity 274; 45.71°, d 1.985, intensity 247; 47.11°, d 1.929, intensity 171; 68.24°, d 1.374, intensity 87

---

Entry 3:
# HoTh2Si3Pt4
Theoretical X-ray powder pattern, λ = 1.5418 Å (Cu Kα). Input: a cell relaxed with PBE.
Lines closer than 0.1° are merged.

Crystal structure
```
HoTh2Si3Pt4
1.0
4.2410 0.0000 0.0000
0.0000 4.2410 0.0000
0.0000 0.0000 11.0005
Ho Th Si Pt
1 2 3 4
Direct
0.0000 0.0000 0.0000 Ho
0.0000 0.5000 0.7247 Th
0.5000 0.0000 0.2753 Th
0.0000 0.5000 0.3793 Si
0.5000 0.0000 0.6207 Si
0.5000 0.5000 0.0000 Si
0.0000 0.0000 0.5000 Pt
0.0000 0.5000 0.1607 Pt
0.5000 0.0000 0.8393 Pt
0.5000 0.5000 0.5000 Pt
```

Largest 10 diffraction maxima, most intense first, 2θ from 5° to 70°:
34.05°, d 2.633, intensity 1000; 42.64°, d 2.121, intensity 428; 26.54°, d 3.359, intensity 278; 32.27°, d 2.774, intensity 214; 39.04°, d 2.307, intensity 176; 46.50°, d 1.953, intensity 164; 61.88°, d 1.499, intensity 144; 54.48°, d 1.684, intensity 126; 64.91°, d 1.437, intensity 123; 59.18°, d 1.561, intensity 107

---

Entry 4:
# VGaP3
Theoretical X-ray powder pattern, λ = 1.5418 Å (Cu Kα). Input: a cell relaxed with PBE.
Lines closer than 0.1° are merged.

Crystal structure
```
VGaP3
1.0
4.5667 0.0000 0.0000
0.0000 4.5667 0.0000
0.0000 0.0000 4.5667
V Ga P
1 1 3
Direct
0.0000 0.0000 0.0000 V
0.5000 0.5000 0.5000 Ga
0.0000 0.0000 0.5000 P
0.0000 0.5000 0.0000 P
0.5000 0.0000 0.0000 P
```

Largest 8 diffraction maxima, most intense first, 2θ from 5° to 70°:
39.46°, d 2.283, intensity 1000; 27.62°, d 3.229, intensity 989; 57.04°, d 1.615, intensity 636; 34.00°, d 2.637, intensity 588; 48.85°, d 1.864, intensity 401; 68.10°, d 1.377, intensity 223; 64.53°, d 1.444, intensity 163; 19.44°, d 4.567, intensity 20

---

Entry 5:
# Pm6Si3N
Theoretical X-ray powder pattern, λ = 1.5418 Å (Cu Kα). Input: a cell relaxed with PBE.
Lines closer than 0.1° are merged.

Crystal structure
```
Pm6Si3N
1.0
6.4700 0.0000 0.0000
0.0000 7.8298 0.0000
-6.2741 0.0000 10.1091
Pm Si N
12 6 2
Direct
0.0991 0.0490 0.2339 Pm
0.0991 0.4510 0.7339 Pm
0.2020 0.7059 0.0621 Pm
0.2020 0.7941 0.5621 Pm
0.3817 0.1641 0.0595 Pm
0.3817 0.3359 0.5595 Pm
0.6183 0.6641 0.4405 Pm
0.6183 0.8359 0.9405 Pm
0.7980 0.2059 0.4379 Pm
0.7980 0.2941 0.9379 Pm
0.9009 0.5490 0.2661 Pm
0.9009 0.9510 0.7661 Pm
0.3121 0.1079 0.7491 Si
0.3121 0.3921 0.2491 Si
0.5000 0.0000 0.5000 Si
0.5000 0.5000 0.0000 Si
0.6879 0.6079 0.7509 Si
0.6879 0.8921 0.2509 Si
0.0000 0.0000 0.0000 N
0.0000 0.5000 0.5000 N
```

Largest 10 diffraction maxima, most intense first, 2θ from 5° to 70°:
29.89°, d 2.989, intensity 1000; 28.85°, d 3.095, intensity 896; 32.25°, d 2.776, intensity 851; 29.65°, d 3.013, intensity 839; 31.88°, d 2.807, intensity 806; 31.36°, d 2.853, intensity 682; 28.15°, d 3.170, intensity 588; 30.14°, d 2.965, intensity 562; 48.57°, d 1.874, intensity 484; 24.38°, d 3.651, intensity 401

---

- What is the formula in the third record?
  HoTh2Si3Pt4